Record 1
Starting from DFT lattice parameters and positions (PBE), the X-ray powder pattern of Pr2NdHoTm4 was simulated for Cu Kα (λ = 1.5418 Å).
Intensities are scaled so that the largest is 100.

Cell and atoms:
Unit cell a=6.7871 b=11.8492 c=13.2324 alpha=90.00 beta=90.00 gamma=90.00
Space group Imma (No. 74)
One atom of each set of equivalent atoms:
Pr 0.0000 0.0000 0.0000 (multiplicity 4)
Pr 0.2500 0.2500 0.2500 (multiplicity 4)
Nd 0.0000 0.0000 0.5000 (multiplicity 4)
Ho 0.2500 0.2500 0.7500 (multiplicity 4)
Tm 0.0000 0.0052 0.7500 (multiplicity 8)
Tm 0.2499 0.2500 0.5050 (multiplicity 8)

Largest 10 diffraction maxima, by angle, 2θ = 10–90°:
index, 2θ (°), d/Å, I/Imax
0 0 4, 26.95, 3.308, 67
0 4 0, 30.17, 2.962, 51
2 2 0, 30.35, 2.945, 100
0 4 4, 40.89, 2.207, 44
2 2 4, 41.04, 2.200, 88
2 6 0, 53.70, 1.707, 20
2 6 4, 61.09, 1.517, 27
4 0 4, 61.41, 1.510, 13
2 2 8, 64.63, 1.442, 23
4 4 4, 69.94, 1.345, 18

---

Record 2
Starting from DFT lattice parameters and positions (PBE), the X-ray powder pattern of Ce12AlGa6 was simulated for Cu Kα (λ = 1.5418 Å).
Intensities are scaled so that the largest is 100.

Cell and atoms:
Unit cell a=13.9003 b=13.9003 c=8.6237 alpha=90.00 beta=90.00 gamma=120.00
Space group R-3m (No. 166, hexagonal axes)
One atom of each set of equivalent atoms:
Ce 0.0000 0.3725 0.0000 (multiplicity 18)
Ce 0.0948 0.1896 0.7252 (multiplicity 18)
Al 0.0000 0.0000 0.5000 (multiplicity 3)
Ga 0.1015 0.5508 0.7383 (multiplicity 18)

Largest 10 diffraction maxima, by angle, 2θ = 10–90°:
index, 2θ (°), d/Å, I/Imax
1 1 0, 12.74, 6.950, 33
0 1 2, 21.90, 4.059, 31
1 2 2, 28.52, 3.130, 32
1 3 1, 28.67, 3.114, 100
0 0 3, 31.11, 2.875, 40
3 2 1, 34.10, 2.629, 90
0 3 3, 38.53, 2.337, 93
3 3 0, 38.87, 2.317, 94
5 0 2, 43.03, 2.102, 29
3 5 4, 69.98, 1.344, 28

---

Record 3
Starting from DFT lattice parameters and positions (PBE), the X-ray powder pattern of Cs2Rb2F was simulated for Cu Kα (λ = 1.5418 Å).
Intensities are scaled so that the largest is 100.

Cell and atoms:
Unit cell a=22.6388 b=5.0110 c=17.4156 alpha=90.00 beta=129.13 gamma=90.00
Space group C2/m (No. 12)
One atom of each set of equivalent atoms:
Cs 0.0779 0.0000 0.2040 (multiplicity 4)
Cs 0.2050 0.0000 0.5536 (multiplicity 4)
Rb 0.0762 0.5000 0.6906 (multiplicity 4)
Rb 0.1810 0.5000 0.0432 (multiplicity 4)
F 0.2118 0.0000 0.3945 (multiplicity 4)

Largest 10 diffraction maxima, by angle, 2θ = 10–90°:
index, 2θ (°), d/Å, I/Imax
4 0 -4, 20.72, 4.286, 49
2 0 2, 21.06, 4.219, 50
3 1 -1, 21.50, 4.134, 100
6 0 -2, 24.35, 3.656, 26
1 1 -3, 24.61, 3.617, 66
7 1 -5, 34.68, 2.587, 27
5 1 1, 35.10, 2.557, 26
5 1 -7, 40.64, 2.220, 18
1 1 5, 41.03, 2.200, 17
2 2 2, 41.94, 2.154, 16

---

Record 4
Starting from DFT lattice parameters and positions (PBE), the X-ray powder pattern of Pr5Nd2Tm4 was simulated for Cu Kα (λ = 1.5418 Å).
Intensities are scaled so that the largest is 100.

Cell and atoms:
Unit cell a=18.1389 b=3.6037 c=12.2647 alpha=90.00 beta=107.37 gamma=90.00
Space group C2/m (No. 12)
One atom of each set of equivalent atoms:
Pr 0.0000 0.0000 0.0000 (multiplicity 2)
Pr 0.1132 0.5000 0.5168 (multiplicity 4)
Pr 0.1660 0.5000 0.0111 (multiplicity 4)
Nd 0.1762 0.0000 0.2901 (multiplicity 4)
Tm 0.0050 0.5000 0.7520 (multiplicity 4)
Tm 0.1694 0.0000 0.7682 (multiplicity 4)

Largest 10 diffraction maxima, by angle, 2θ = 10–90°:
index, 2θ (°), d/Å, I/Imax
4 0 2, 29.06, 3.073, 15
2 0 -4, 29.18, 3.061, 18
0 0 4, 30.55, 2.926, 51
3 1 -2, 30.79, 2.904, 100
6 0 0, 30.99, 2.885, 35
3 1 2, 35.21, 2.549, 76
6 0 -4, 36.63, 2.453, 18
0 2 0, 50.65, 1.802, 23
3 1 6, 60.15, 1.538, 14
0 2 4, 60.33, 1.534, 15

---

Record 5
Starting from DFT lattice parameters and positions (PBE), the X-ray powder pattern of NdZrNi10 was simulated for Cu Kα (λ = 1.5418 Å).
Intensities are scaled so that the largest is 100.

Cell and atoms:
Unit cell a=3.9655 b=4.8489 c=8.4217 alpha=90.00 beta=90.00 gamma=90.00
Space group Pmmm (No. 47)
One atom of each set of equivalent atoms:
Nd 0.0000 0.0000 0.0000 (multiplicity 1)
Zr 0.0000 0.5000 0.5000 (multiplicity 1)
Ni 0.0000 0.0000 0.3422 (multiplicity 2)
Ni 0.0000 0.5000 0.1791 (multiplicity 2)
Ni 0.5000 0.0000 0.5000 (multiplicity 1)
Ni 0.5000 0.2549 0.2590 (multiplicity 4)
Ni 0.5000 0.5000 0.0000 (multiplicity 1)

Largest 10 diffraction maxima, by angle, 2θ = 10–90°:
index, 2θ (°), d/Å, I/Imax
1 1 1, 31.00, 2.885, 38
0 2 0, 37.03, 2.428, 27
0 0 4, 43.02, 2.103, 33
1 2 0, 43.72, 2.071, 100
2 0 0, 45.76, 1.983, 29
1 2 2, 49.04, 1.857, 13
2 2 0, 60.27, 1.536, 13
2 0 4, 64.61, 1.443, 19
1 3 3, 71.42, 1.321, 14
3 2 0, 83.22, 1.161, 14

---

Number 3 is which compound?
Cs2Rb2F